For Pu2NiSn8, a crystal structure in Alexandria, relaxed with PBE gives the theoretical XRD peak list in this record (Cu Kα X-rays).
Kinematic intensities with the Lorentz-polarization factor, no thermal factor.

Atomic structure:
Cell: 4.6489 4.6489 12.4667 Å, 90.00 90.00 90.00°
Element x y z (fractional)
1 Pu 0.0000 0.0000 0.1913
2 Pu 0.0000 0.0000 0.8087
3 Ni 0.0000 0.0000 0.5000
4 Sn 0.0000 0.5000 0.0000
5 Sn 0.0000 0.5000 0.3793
6 Sn 0.0000 0.5000 0.6207
7 Sn 0.5000 0.0000 0.0000
8 Sn 0.5000 0.0000 0.3793
9 Sn 0.5000 0.0000 0.6207
10 Sn 0.5000 0.5000 0.1886
11 Sn 0.5000 0.5000 0.8114

Largest 10 diffraction maxima, in order of falling intensity, 5 to 70 degrees two-theta:
d 2.578, intensity 100.0; d 2.324, intensity 53.2; d 2.908, intensity 45.2; d 1.386, intensity 30.5; d 1.700, intensity 28.7; d 2.493, intensity 22.1; d 1.644, intensity 18.7; d 1.408, intensity 18.7; d 1.372, intensity 14.5; d 4.649, intensity 11.4

=====

For Ac6PrNd5, a crystal structure in Alexandria, relaxed with PBE gives the theoretical XRD peak list in this record (Cu Kα X-rays).
Kinematic intensities with the Lorentz-polarization factor, no thermal factor.

Atomic structure:
Cell: 10.1485 10.1485 10.1485 Å, 148.52 117.07 72.06°
Element x y z (fractional)
1 Ac 0.0827 0.3332 0.7496
2 Ac 0.2494 0.0000 0.2494
3 Ac 0.4164 0.6668 0.7496
4 Ac 0.5836 0.3332 0.2504
5 Ac 0.7506 0.0000 0.7506
6 Ac 0.9173 0.6668 0.2504
7 Pr 0.5000 0.5000 0.0000
8 Nd 0.0000 0.5000 0.5000
9 Nd 0.1668 0.1668 0.0000
10 Nd 0.3333 0.8333 0.5000
11 Nd 0.6667 0.1667 0.5000
12 Nd 0.8332 0.8332 0.0000

Largest 10 diffraction maxima, in order of falling intensity, 5 to 70 degrees two-theta:
d 3.131, intensity 100.0; d 2.753, intensity 17.8; d 2.736, intensity 17.5; d 2.649, intensity 16.0; d 1.653, intensity 15.9; d 1.646, intensity 15.6; d 1.607, intensity 14.5; d 1.565, intensity 13.3; d 1.940, intensity 13.1; d 1.909, intensity 12.5

=====

For Cs2TlCl3, a crystal structure in Alexandria, relaxed with PBE gives the theoretical XRD peak list in this record (Cu Kα X-rays).
Kinematic intensities with the Lorentz-polarization factor, no thermal factor.

Atomic structure:
Cell: 9.6148 9.6148 9.6148 Å, 50.53 50.53 50.53°
Element x y z (fractional)
1 Cs 0.1691 0.1691 0.1691
2 Cs 0.3309 0.3309 0.3309
3 Cs 0.6691 0.6691 0.6691
4 Cs 0.8309 0.8309 0.8309
5 Tl 0.0000 0.0000 0.0000
6 Tl 0.5000 0.5000 0.5000
7 Cl 0.1050 0.7500 0.3950
8 Cl 0.2500 0.6050 0.8950
9 Cl 0.3950 0.1050 0.7500
10 Cl 0.6050 0.8950 0.2500
11 Cl 0.7500 0.3950 0.1050
12 Cl 0.8950 0.2500 0.6050

Largest 10 diffraction maxima, in order of falling intensity, 5 to 70 degrees two-theta:
d 2.929, intensity 100.0; d 4.104, intensity 72.6; d 2.369, intensity 34.4; d 1.842, intensity 25.1; d 1.454, intensity 23.1; d 4.183, intensity 18.3; d 2.062, intensity 18.3; d 1.568, intensity 17.6; d 1.863, intensity 16.9; d 2.052, intensity 12.3

=====

For Na4PaF10, a crystal structure in Alexandria, relaxed with PBE gives the theoretical XRD peak list in this record (Cu Kα X-rays).
Kinematic intensities with the Lorentz-polarization factor, no thermal factor.

Atomic structure:
Cell: 6.8110 6.8110 6.8110 Å, 98.98 98.98 133.44°
Element x y z (fractional)
1 Na 0.0995 0.6976 0.7971
2 Na 0.3024 0.0995 0.4019
3 Na 0.6976 0.9005 0.5981
4 Na 0.9005 0.3024 0.2029
5 Pa 0.5000 0.5000 0.0000
6 F 0.0823 0.3603 0.9151
7 F 0.1672 0.0823 0.7219
8 F 0.2500 0.7500 0.5000
9 F 0.3603 0.4453 0.2781
10 F 0.4453 0.1672 0.0849
11 F 0.5547 0.8328 0.9151
12 F 0.6397 0.5547 0.7219
13 F 0.7500 0.2500 0.5000
14 F 0.8328 0.9177 0.2781
15 F 0.9177 0.6397 0.0849

Largest 10 diffraction maxima, in order of falling intensity, 5 to 70 degrees two-theta:
d 3.188, intensity 100.0; d 6.257, intensity 77.7; d 4.599, intensity 74.5; d 1.940, intensity 52.3; d 4.424, intensity 36.8; d 1.681, intensity 27.8; d 1.979, intensity 25.2; d 2.233, intensity 21.4; d 1.993, intensity 15.5; d 1.634, intensity 15.2

=====

Repeat the third record exactly.
For Cs2TlCl3, a crystal structure in Alexandria, relaxed with PBE gives the theoretical XRD peak list in this record (Cu Kα X-rays).
Kinematic intensities with the Lorentz-polarization factor, no thermal factor.

Atomic structure:
Cell: 9.6148 9.6148 9.6148 Å, 50.53 50.53 50.53°
Element x y z (fractional)
1 Cs 0.1691 0.1691 0.1691
2 Cs 0.3309 0.3309 0.3309
3 Cs 0.6691 0.6691 0.6691
4 Cs 0.8309 0.8309 0.8309
5 Tl 0.0000 0.0000 0.0000
6 Tl 0.5000 0.5000 0.5000
7 Cl 0.1050 0.7500 0.3950
8 Cl 0.2500 0.6050 0.8950
9 Cl 0.3950 0.1050 0.7500
10 Cl 0.6050 0.8950 0.2500
11 Cl 0.7500 0.3950 0.1050
12 Cl 0.8950 0.2500 0.6050

Largest 10 diffraction maxima, in order of falling intensity, 5 to 70 degrees two-theta:
d 2.929, intensity 100.0; d 4.104, intensity 72.6; d 2.369, intensity 34.4; d 1.842, intensity 25.1; d 1.454, intensity 23.1; d 4.183, intensity 18.3; d 2.062, intensity 18.3; d 1.568, intensity 17.6; d 1.863, intensity 16.9; d 2.052, intensity 12.3